Theoretical PXRD pattern
Compound: NaCoP2Pd
Radiation: copper Kα
Structure: a cell relaxed with PBE
Lines closer than 0.1° are merged.

Structure:
```
data_NaCoP2Pd
_chemical_formula_sum 'Na2 Co2 P4 Pd2'
_space_group_name_H-M_alt 'I -4 m 2'
_space_group_IT_number 119
_space_group_name_Hall 'I -4 -2'
_cell_length_a 3.947
_cell_length_b 3.947
_cell_length_c 9.530
_cell_angle_alpha 90.00
_cell_angle_beta 90.00
_cell_angle_gamma 90.00
loop_
_atom_site_label
_atom_site_fract_x
_atom_site_fract_y
_atom_site_fract_z
Na1 0.000 0.000 0.000
Co1 0.000 0.500 0.250
P1 0.000 0.000 0.384
Pd1 0.000 0.500 0.750
```

Principal peaks in the range 2θ from 10° to 90°, most intense first:
37.34 deg, intensity 100, (1 1 2); 18.62 deg, intensity 70, (0 0 2); 45.99 deg, intensity 43, (2 0 0); 50.36 deg, intensity 42, (1 1 4); 50.03 deg, intensity 20, (2 0 2); 24.41 deg, intensity 20, (1 0 1); 79.36 deg, intensity 20, (3 1 2); 88.42 deg, intensity 17, (3 1 4); 36.30 deg, intensity 15, (1 0 3); 32.07 deg, intensity 13, (1 1 0)